1.
Starting from a DFT-relaxed cell (GGA-PBE, the Materials Project), the XRD peak list of ZrGa2N2 was computed for Cu Kα X-rays.

Peak list (10 most intense, 10° ≤ 2θ ≤ 90°, most intense first)
| Position (°2θ) | I/Imax |
| --- | --- |
| 38.37 | 100 |
| 33.61 | 94 |
| 31.39 | 37 |
| 53.92 | 33 |
| 56.82 | 30 |
| 10.35 | 29 |
| 66.36 | 26 |
| 63.73 | 17 |
| 70.65 | 15 |
| 67.66 | 12 |

Structural model:
```
ZrGa2N2
1.0
3.241 0.000 0.000
-1.620 2.807 0.000
0.000 0.000 8.550
Zr Ga N
1 2 2
Direct
0.000 0.000 0.000 Zr
0.333 0.667 0.678 Ga
0.667 0.333 0.322 Ga
0.333 0.667 0.144 N
0.667 0.333 0.856 N
```


2.
Starting from a DFT-relaxed cell (GGA-PBE, the Materials Project), the XRD peak list of Mg2ScMo3S8 was computed for Cu Kα X-rays.

Peak list (10 most intense, 10° ≤ 2θ ≤ 90°, most intense first)
| Position (°2θ) | I/Imax |
| --- | --- |
| 33.96 | 100 |
| 14.78 | 54 |
| 48.35 | 48 |
| 14.45 | 46 |
| 49.23 | 44 |
| 27.81 | 43 |
| 27.98 | 33 |
| 44.92 | 19 |
| 28.34 | 17 |
| 60.39 | 16 |

Structural model:
```
Mg2ScMo3S8
1.0
3.765 2.174 5.995
-3.765 2.174 5.995
0.000 -4.348 5.995
Mg Sc Mo S
2 1 3 8
Direct
0.124 0.124 0.124 Mg
0.876 0.876 0.876 Mg
0.500 0.500 0.500 Sc
0.000 0.500 0.500 Mo
0.500 0.000 0.500 Mo
0.500 0.500 0.000 Mo
0.256 0.256 0.723 S
0.256 0.723 0.256 S
0.261 0.261 0.261 S
0.277 0.744 0.744 S
0.723 0.256 0.256 S
0.739 0.739 0.739 S
0.744 0.277 0.744 S
0.744 0.744 0.277 S
```


3.
Starting from a DFT-relaxed cell (GGA-PBE, the Materials Project), the XRD peak list of PrAlGe2O7 was computed for Cu Kα X-rays.

Peak list (10 most intense, 10° ≤ 2θ ≤ 90°, most intense first)
| Position (°2θ) | I/Imax |
| --- | --- |
| 27.40 | 100 |
| 29.68 | 95 |
| 27.59 | 58 |
| 31.20 | 49 |
| 15.45 | 39 |
| 47.64 | 35 |
| 32.93 | 34 |
| 30.58 | 32 |
| 50.71 | 30 |
| 35.92 | 27 |

Structural model:
```
PrAlGe2O7
1.0
7.340 0.000 0.000
0.000 6.609 0.000
-5.974 0.000 11.471
Pr Al Ge O
4 4 8 28
Direct
0.238 0.148 0.474 Pr
0.238 0.352 0.974 Pr
0.762 0.648 0.026 Pr
0.762 0.852 0.526 Pr
0.213 0.103 0.730 Al
0.213 0.397 0.230 Al
0.787 0.603 0.770 Al
0.787 0.897 0.270 Al
0.210 0.658 0.451 Ge
0.210 0.842 0.951 Ge
0.303 0.590 0.720 Ge
0.303 0.910 0.220 Ge
0.697 0.090 0.780 Ge
0.697 0.410 0.280 Ge
0.790 0.158 0.049 Ge
0.790 0.342 0.549 Ge
0.005 0.661 0.914 O
0.005 0.839 0.414 O
0.161 0.682 0.187 O
0.161 0.818 0.687 O
0.204 0.051 0.865 O
0.204 0.449 0.365 O
0.225 0.115 0.277 O
0.225 0.385 0.777 O
0.247 0.502 0.573 O
0.247 0.998 0.073 O
0.407 0.677 0.977 O
0.407 0.823 0.477 O
0.428 0.125 0.699 O
0.428 0.375 0.199 O
0.572 0.625 0.801 O
0.572 0.875 0.301 O
0.593 0.177 0.523 O
0.593 0.323 0.023 O
0.753 0.002 0.927 O
0.753 0.498 0.427 O
0.775 0.615 0.223 O
0.775 0.885 0.723 O
0.796 0.551 0.635 O
0.796 0.949 0.135 O
0.839 0.182 0.313 O
0.839 0.318 0.813 O
0.995 0.161 0.586 O
0.995 0.339 0.086 O
```


4.
Starting from a DFT-relaxed cell (GGA-PBE, the Materials Project), the XRD peak list of CeZn5 was computed for Cu Kα X-rays.

Peak list (10 most intense, 10° ≤ 2θ ≤ 90°, most intense first)
| Position (°2θ) | I/Imax |
| --- | --- |
| 39.58 | 100 |
| 28.32 | 38 |
| 38.66 | 34 |
| 33.31 | 29 |
| 42.23 | 27 |
| 63.76 | 23 |
| 85.23 | 20 |
| 58.58 | 20 |
| 69.96 | 17 |
| 75.43 | 14 |

Structural model:
```
CeZn5
1.0
5.379 0.000 0.000
-2.689 4.658 0.000
0.000 0.000 4.280
Ce Zn
1 5
Direct
0.000 0.000 0.000 Ce
0.000 0.500 0.500 Zn
0.333 0.667 0.000 Zn
0.500 0.000 0.500 Zn
0.500 0.500 0.500 Zn
0.667 0.333 0.000 Zn
```


5.
Starting from a DFT-relaxed cell (GGA-PBE, the Materials Project), the XRD peak list of GdAlSi was computed for Cu Kα X-rays.

Peak list (10 most intense, 10° ≤ 2θ ≤ 90°, most intense first)
| Position (°2θ) | I/Imax |
| --- | --- |
| 32.93 | 100 |
| 28.35 | 52 |
| 22.28 | 43 |
| 37.86 | 42 |
| 43.62 | 30 |
| 24.57 | 25 |
| 59.11 | 23 |
| 49.18 | 20 |
| 73.31 | 20 |
| 52.84 | 19 |

Structural model:
```
GdAlSi
1.0
-2.075 2.075 7.246
2.075 -2.075 7.246
2.075 2.075 -7.246
Gd Al Si
2 2 2
Direct
0.000 0.000 0.000 Gd
0.750 0.250 0.500 Gd
0.167 0.667 0.500 Al
0.417 0.417 0.000 Al
0.332 0.832 0.500 Si
0.582 0.582 0.000 Si
```


6.
Starting from a DFT-relaxed cell (GGA-PBE, the Materials Project), the XRD peak list of Sm5Sn3 was computed for Cu Kα X-rays.

Peak list (10 most intense, 10° ≤ 2θ ≤ 90°, most intense first)
| Position (°2θ) | I/Imax |
| --- | --- |
| 32.61 | 100 |
| 32.95 | 78 |
| 33.81 | 40 |
| 29.72 | 32 |
| 50.70 | 29 |
| 47.93 | 20 |
| 28.75 | 19 |
| 64.81 | 18 |
| 26.42 | 17 |
| 53.50 | 14 |

Structural model:
```
Sm5Sn3
1.0
9.183 0.000 0.000
-4.591 7.952 0.000
0.000 0.000 6.746
Sm Sn
10 6
Direct
0.000 0.241 0.250 Sm
0.000 0.759 0.750 Sm
0.241 0.000 0.250 Sm
0.241 0.241 0.750 Sm
0.333 0.667 0.000 Sm
0.333 0.667 0.500 Sm
0.667 0.333 0.000 Sm
0.667 0.333 0.500 Sm
0.759 0.000 0.750 Sm
0.759 0.759 0.250 Sm
0.000 0.394 0.750 Sn
0.000 0.606 0.250 Sn
0.394 0.000 0.750 Sn
0.394 0.394 0.250 Sn
0.606 0.000 0.250 Sn
0.606 0.606 0.750 Sn
```


7.
Starting from a DFT-relaxed cell (GGA-PBE, the Materials Project), the XRD peak list of GaTe was computed for Cu Kα X-rays.

Peak list (10 most intense, 10° ≤ 2θ ≤ 90°, most intense first)
| Position (°2θ) | I/Imax |
| --- | --- |
| 28.86 | 100 |
| 42.63 | 79 |
| 19.27 | 61 |
| 24.87 | 60 |
| 43.79 | 52 |
| 48.25 | 32 |
| 31.65 | 27 |
| 62.77 | 24 |
| 79.66 | 24 |
| 53.30 | 18 |

Structural model:
```
GaTe
1.0
4.135 0.000 0.000
-2.067 3.581 0.000
0.000 0.000 18.426
Ga Te
4 4
Direct
0.333 0.667 0.183 Ga
0.333 0.667 0.317 Ga
0.667 0.333 0.683 Ga
0.667 0.333 0.817 Ga
0.333 0.667 0.614 Te
0.333 0.667 0.886 Te
0.667 0.333 0.114 Te
0.667 0.333 0.386 Te
```


8.
Starting from a DFT-relaxed cell (GGA-PBE, the Materials Project), the XRD peak list of RbB3O5 was computed for Cu Kα X-rays.

Peak list (10 most intense, 10° ≤ 2θ ≤ 90°, most intense first)
| Position (°2θ) | I/Imax |
| --- | --- |
| 29.90 | 100 |
| 27.34 | 62 |
| 31.32 | 56 |
| 37.13 | 49 |
| 30.59 | 41 |
| 28.86 | 39 |
| 41.48 | 38 |
| 15.35 | 25 |
| 38.37 | 22 |
| 35.85 | 21 |

Structural model:
```
RbB3O5
1.0
4.986 -4.483 0.000
4.986 4.483 0.000
-2.131 0.000 9.061
Rb B O
4 12 20
Direct
0.077 0.766 0.554 Rb
0.234 0.923 0.946 Rb
0.766 0.077 0.054 Rb
0.923 0.234 0.446 Rb
0.071 0.568 0.180 B
0.291 0.307 0.765 B
0.307 0.291 0.265 B
0.387 0.466 0.068 B
0.432 0.929 0.320 B
0.466 0.387 0.568 B
0.534 0.613 0.432 B
0.568 0.071 0.680 B
0.613 0.534 0.932 B
0.693 0.709 0.735 B
0.709 0.693 0.235 B
0.929 0.432 0.820 B
0.089 0.289 0.800 O
0.099 0.395 0.245 O
0.212 0.606 0.096 O
0.289 0.089 0.300 O
0.289 0.404 0.637 O
0.394 0.788 0.404 O
0.395 0.099 0.745 O
0.404 0.289 0.137 O
0.411 0.427 0.904 O
0.427 0.411 0.404 O
0.573 0.589 0.596 O
0.589 0.573 0.096 O
0.596 0.711 0.863 O
0.605 0.901 0.255 O
0.606 0.212 0.596 O
0.711 0.596 0.363 O
0.711 0.911 0.700 O
0.788 0.394 0.904 O
0.901 0.605 0.755 O
0.911 0.711 0.200 O
```